# 1
Starting from a PBE-relaxed structure, the X-ray diffraction stick pattern of CaH16O10 was simulated for Cu Kα, 1.54184 Å.

Most intense lines, 2θ = 10–90°, in order of falling intensity:
2theta, I/Imax
33.12, 100
16.28, 69
33.26, 57
26.06, 42
25.97, 41
40.88, 35
45.99, 32
46.15, 31
32.89, 31
44.18, 31
40.76, 26
46.67, 26

Structural model:
```
54
Lattice="4.418 -4.393 0.000 4.418 4.393 0.000 -0.024 0.000 10.892" Properties=species:S:1:pos:R:3 pbc="T T T"
Ca 4.407 4.357 5.446
Ca 4.418 -4.357 0.000
H 2.587 2.296 4.158
H 2.094 1.785 6.755
H 1.911 0.743 8.618
H 3.672 2.478 2.304
H 2.808 0.487 9.892
H 3.931 1.565 1.034
H 3.945 1.504 4.322
H 2.912 0.445 6.603
H 5.148 2.494 8.577
H 1.922 -0.743 3.172
H 2.820 -0.487 4.446
H 4.863 1.504 6.587
H 2.924 -0.445 1.157
H 4.868 1.493 9.777
H 2.106 -1.785 1.309
H 6.225 2.282 6.749
H 2.575 -2.296 9.604
H 6.728 1.785 4.170
H 5.907 0.451 4.315
H 3.934 -1.504 9.768
H 6.002 0.507 1.025
H 3.919 -1.565 6.480
H 6.907 0.745 2.300
H 3.660 -2.478 7.750
H 5.895 -0.451 9.761
H 4.875 -1.504 1.141
H 4.879 -1.493 4.331
H 5.990 -0.507 6.471
H 6.896 -0.745 7.746
H 5.160 -2.494 3.130
H 6.237 -2.282 1.303
H 6.717 -1.785 9.616
O 1.919 0.873 9.610
O 3.561 2.465 1.307
O 3.572 2.421 4.062
O 1.986 0.796 6.854
O 1.998 -0.796 1.408
O 1.931 -0.873 4.164
O 5.230 2.416 9.571
O 5.239 2.420 6.832
O 4.390 0.011 4.694
O 4.378 -0.011 10.140
O 4.435 0.022 0.739
O 4.423 -0.022 6.186
O 6.890 0.890 1.311
O 3.560 -2.421 9.508
O 3.550 -2.465 6.754
O 6.836 0.799 4.071
O 6.824 -0.799 9.517
O 5.242 -2.416 4.124
O 5.250 -2.420 1.386
O 6.878 -0.890 6.758
```


# 2
Starting from a PBE-relaxed structure, the X-ray diffraction stick pattern of AlSb3Pb4O13 was simulated for Cu Kα, 1.54184 Å.

Most intense lines, 2θ = 10–90°, in order of falling intensity:
2theta, I/Imax
29.20, 100
34.00, 50
29.73, 32
57.93, 30
48.50, 29
49.19, 28
14.48, 16
57.62, 15
58.54, 14
78.57, 12
60.55, 12
81.13, 11

Structural model:
```
21
Lattice="3.754 2.167 6.011 -3.754 2.167 6.011 0.000 -4.335 6.011" Properties=species:S:1:pos:R:3 pbc="T T T"
Al 0.000 0.000 0.000
Sb 0.000 -2.173 3.024
Sb -1.882 1.086 3.024
Sb 1.882 1.086 3.024
Pb -1.844 -1.064 6.037
Pb 0.000 0.000 8.988
Pb 1.844 -1.064 6.037
Pb 0.000 2.129 6.037
O 0.000 -2.680 4.939
O -2.321 1.340 4.939
O -2.276 -1.314 8.595
O -2.303 -1.329 13.111
O 0.000 -2.607 9.479
O -2.258 1.304 9.479
O 0.000 0.000 11.281
O 2.276 -1.314 8.595
O 0.000 2.628 8.595
O 2.321 1.340 4.939
O 2.258 1.304 9.479
O 2.303 -1.329 13.111
O 0.000 2.659 13.111
```


# 3
Starting from a PBE-relaxed structure, the X-ray diffraction stick pattern of Nb3SiO10 was simulated for Cu Kα, 1.54184 Å.

Most intense lines, 2θ = 10–90°, in order of falling intensity:
2theta, I/Imax
24.74, 100
25.07, 100
28.62, 97
27.09, 85
30.15, 52
33.93, 49
30.63, 49
54.10, 38
14.20, 36
54.78, 30
35.60, 27
35.71, 26

Structural model:
```
14
Lattice="4.822 0.000 0.000 -0.061 5.432 0.000 -2.323 -1.484 6.239" Properties=species:S:1:pos:R:3 pbc="T T T"
Nb 0.000 0.000 0.000
Nb 0.060 1.841 3.014
Nb 2.542 2.727 0.269
Si 2.551 4.476 2.833
O -0.925 3.378 3.288
O -1.381 2.407 6.028
O -0.712 -0.334 6.151
O 1.228 0.080 2.269
O 1.677 2.987 2.223
O 0.909 1.638 4.768
O 1.898 4.316 4.488
O 3.300 4.524 1.118
O 4.131 1.765 1.008
O 3.550 0.470 3.265
```


# 4
Starting from a PBE-relaxed structure, the X-ray diffraction stick pattern of IrN was simulated for Cu Kα, 1.54184 Å.

Most intense lines, 2θ = 10–90°, in order of falling intensity:
2theta, I/Imax
35.94, 100
29.54, 36
56.34, 31
56.66, 27
46.83, 21
79.74, 21
76.21, 11
80.54, 9
68.38, 9
88.30, 8
61.31, 6

Structural model:
```
4
Lattice="2.744 0.000 0.000 0.000 2.744 0.000 0.000 0.000 6.048" Properties=species:S:1:pos:R:3 pbc="T T T"
Ir 0.000 1.372 0.000
Ir 1.372 0.000 3.024
N 0.000 0.000 1.512
N 0.000 0.000 4.536
```


# 5
Starting from a PBE-relaxed structure, the X-ray diffraction stick pattern of HfBi3 was simulated for Cu Kα, 1.54184 Å.

Most intense lines, 2θ = 10–90°, in order of falling intensity:
2theta, I/Imax
32.19, 100
38.90, 30
66.24, 26
52.64, 26
34.06, 22
59.78, 18
86.57, 13
67.35, 13
56.18, 11
84.71, 7
83.50, 4
71.70, 3

Structural model:
```
8
Lattice="4.631 0.000 0.000 0.000 4.631 0.000 0.000 0.000 10.530" Properties=species:S:1:pos:R:3 pbc="T T T"
Hf 0.000 0.000 0.000
Hf 2.315 2.315 5.265
Bi 0.000 0.000 5.265
Bi 0.000 2.315 2.633
Bi 0.000 2.315 7.898
Bi 2.315 0.000 2.633
Bi 2.315 0.000 7.898
Bi 2.315 2.315 0.000
```


# 6
Starting from a PBE-relaxed structure, the X-ray diffraction stick pattern of Eu2AgBi was simulated for Cu Kα, 1.54184 Å.

Most intense lines, 2θ = 10–90°, in order of falling intensity:
2theta, I/Imax
32.10, 100
57.22, 38
46.03, 18
76.37, 17
67.13, 12
19.49, 5
85.25, 4
37.83, 3
50.43, 1
70.66, 1
61.05, 1
88.54, 1

Structural model:
```
16
Lattice="7.887 0.000 0.000 0.000 7.887 0.000 0.000 0.000 7.887" Properties=species:S:1:pos:R:3 pbc="T T T"
Eu 1.972 1.972 1.972
Eu 1.972 1.972 5.915
Eu 1.972 5.915 1.972
Eu 1.972 5.915 5.915
Eu 5.915 1.972 1.972
Eu 5.915 1.972 5.915
Eu 5.915 5.915 1.972
Eu 5.915 5.915 5.915
Ag 0.000 0.000 0.000
Ag 0.000 3.944 3.944
Ag 3.944 0.000 3.944
Ag 3.944 3.944 0.000
Bi 0.000 0.000 3.944
Bi 0.000 3.944 0.000
Bi 3.944 0.000 0.000
Bi 3.944 3.944 3.944
```


# 7
Starting from a PBE-relaxed structure, the X-ray diffraction stick pattern of Ba4PrGdCu6O14 was simulated for Cu Kα, 1.54184 Å.

Most intense lines, 2θ = 10–90°, in order of falling intensity:
2theta, I/Imax
32.34, 100
32.00, 47
57.31, 20
57.18, 19
57.91, 17
39.75, 15
45.98, 14
46.90, 14
22.48, 11
45.78, 11
67.78, 8
77.80, 8

Structural model:
```
26
Lattice="3.874 0.000 0.000 0.000 3.947 0.000 0.000 0.000 23.785" Properties=species:S:1:pos:R:3 pbc="T T T"
Ba 0.000 0.000 3.816
Ba 0.000 0.000 8.089
Ba 0.000 0.000 15.696
Ba 0.000 0.000 19.969
Pr 0.000 0.000 0.000
Gd 0.000 0.000 11.893
Cu 1.937 1.974 1.843
Cu 1.937 1.974 5.951
Cu 1.937 1.974 10.108
Cu 1.937 1.974 13.677
Cu 1.937 1.974 17.835
Cu 1.937 1.974 21.943
O 0.000 1.974 1.539
O 0.000 1.974 10.434
O 0.000 1.974 13.352
O 0.000 1.974 22.246
O 1.937 0.000 1.551
O 1.937 0.000 5.955
O 1.937 0.000 10.422
O 1.937 0.000 13.363
O 1.937 0.000 17.831
O 1.937 0.000 22.234
O 1.937 1.974 4.074
O 1.937 1.974 7.833
O 1.937 1.974 15.952
O 1.937 1.974 19.711
```